For BaAs2PbO8, a PBE-relaxed structure gives the theoretical powder XRD pattern in this record (Cu Ka).

Largest 8 diffraction maxima, low angle first, 10° ≤ 2θ ≤ 80°:
(0 1 2), 21.33 deg, I = 17
(1 0 4), 24.68 deg, I = 100
(1 1 0), 35.18 deg, I = 72
(1 1 6), 41.51 deg, I = 19
(0 2 4), 43.48 deg, I = 21
(1 1 12), 57.03 deg, I = 20
(2 1 4), 57.14 deg, I = 19
(3 0 0), 63.17 deg, I = 23

Cell lengths 5.0967, 5.0967, 25.0475 Å; angles 90.00, 90.00, 120.00 degrees
Space group R32 (No. 155, hexagonal axes)
Symmetry-distinct sites (fractional):
Ba 0.0000 0.0000 0.0000 [3 per cell]
As 0.0000 0.0000 0.2444 [6 per cell]
Pb 0.0000 0.0000 0.5000 [3 per cell]
O 0.0000 0.0000 0.3122 [6 per cell]
O 0.0054 0.3452 0.8905 [18 per cell]

***

For Tb9CeDy2, a PBE-relaxed structure gives the theoretical powder XRD pattern in this record (Cu Ka).

Largest 6 diffraction maxima, low angle first, 10° ≤ 2θ ≤ 80°:
(1 1 3), 30.81 deg, I = 100
(2 0 0), 35.73 deg, I = 51
(2 2 0), 51.42 deg, I = 36
(3 1 3), 61.15 deg, I = 43
(2 2 6), 64.19 deg, I = 12
(4 0 0), 75.68 deg, I = 6

Cell lengths 5.027, 5.027, 15.078 Å; angles 90.00, 90.00, 90.00 degrees
Space group P4/mmm (No. 123)
Symmetry-distinct sites (fractional):
Tb 0.000 0.000 0.000 [1 per cell]
Tb 0.000 0.000 0.335 [2 per cell]
Tb 0.000 0.500 0.165 [4 per cell]
Tb 0.000 0.500 0.500 [2 per cell]
Ce 0.500 0.500 0.000 [1 per cell]
Dy 0.500 0.500 0.333 [2 per cell]

***

For CsNp2SbTe4, a PBE-relaxed structure gives the theoretical powder XRD pattern in this record (Cu Ka).

Largest 8 diffraction maxima, low angle first, 10° ≤ 2θ ≤ 80°:
(0 2 1), 10.87 deg, I = 76
(0 2 3), 20.63 deg, I = 62
(1 3 0), 24.10 deg, I = 24
(1 5 0), 30.21 deg, I = 40
(1 3 3), 30.58 deg, I = 100
(1 1 4), 32.35 deg, I = 29
(2 0 0), 40.46 deg, I = 28
(1 3 6), 45.16 deg, I = 29

Cell lengths 4.459, 19.771, 14.351 Å; angles 90.00, 90.00, 90.00 degrees
Space group Cmcm (No. 63)
Symmetry-distinct sites (fractional):
Cs 0.000 0.187 0.250 [4 per cell]
Np 0.000 0.420 0.104 [8 per cell]
Sb 0.000 0.113 0.750 [4 per cell]
Te 0.000 0.000 0.000 [4 per cell]
Te 0.000 0.197 0.583 [8 per cell]
Te 0.000 0.468 0.750 [4 per cell]

***

For YHoZnGe, a PBE-relaxed structure gives the theoretical powder XRD pattern in this record (Cu Ka).

Largest 8 diffraction maxima, low angle first, 10° ≤ 2θ ≤ 80°:
(1 1 1), 31.59 deg, I = 100
(0 1 3), 32.71 deg, I = 38
(0 0 4), 33.05 deg, I = 25
(1 1 3), 39.57 deg, I = 56
(1 0 4), 39.86 deg, I = 22
(0 2 0), 43.13 deg, I = 24
(2 0 0), 44.13 deg, I = 22
(2 2 4), 73.35 deg, I = 18

Cell lengths 4.104, 4.195, 10.842 Å; angles 90.00, 90.00, 90.00 degrees
Space group Amm2 (No. 38)
Symmetry-distinct sites (fractional):
Y 0.000 0.000 0.000 [2 per cell]
Ho 0.500 0.000 0.282 [2 per cell]
Zn 0.500 0.000 0.566 [2 per cell]
Ge 0.000 0.000 0.719 [2 per cell]

***

For Tb6NiIr5, a PBE-relaxed structure gives the theoretical powder XRD pattern in this record (Cu Ka).

Largest 8 diffraction maxima, low angle first, 10° ≤ 2θ ≤ 80°:
(1 1 1), 23.25 deg, I = 1
(1 3 2), 36.71 deg, I = 100
(2 0 0), 37.52 deg, I = 47
(0 0 4), 51.67 deg, I = 9
(2 6 0), 54.10 deg, I = 17
(2 0 4), 65.58 deg, I = 19
(3 3 2), 67.17 deg, I = 34
(2 6 4), 78.08 deg, I = 11

Cell lengths 4.793, 14.388, 7.076 Å; angles 90.00, 90.00, 90.00 degrees
Space group Cmmm (No. 65)
Symmetry-distinct sites (fractional):
Tb 0.000 0.000 0.250 [4 per cell]
Tb 0.000 0.333 0.249 [8 per cell]
Ni 0.000 0.500 0.000 [2 per cell]
Ir 0.000 0.164 0.000 [4 per cell]
Ir 0.000 0.168 0.500 [4 per cell]
Ir 0.000 0.500 0.500 [2 per cell]

***

For Er5Cd4Ag, a PBE-relaxed structure gives the theoretical powder XRD pattern in this record (Cu Ka).

Largest 8 diffraction maxima, low angle first, 10° ≤ 2θ ≤ 80°:
(1 0 0), 24.12 deg, I = 4
(1 1 0), 34.37 deg, I = 100
(1 1 5), 42.42 deg, I = 1
(2 0 0), 49.39 deg, I = 18
(2 1 0), 55.70 deg, I = 2
(2 1 5), 61.55 deg, I = 36
(2 2 0), 72.44 deg, I = 11
(2 1 10), 77.59 deg, I = 1

Cell lengths 3.689, 3.689, 18.470 Å; angles 90.00, 90.00, 90.00 degrees
Space group P4/mmm (No. 123)
Symmetry-distinct sites (fractional):
Er 0.000 0.000 0.000 [1 per cell]
Er 0.000 0.000 0.203 [2 per cell]
Er 0.000 0.000 0.405 [2 per cell]
Cd 0.500 0.500 0.101 [2 per cell]
Cd 0.500 0.500 0.302 [2 per cell]
Ag 0.500 0.500 0.500 [1 per cell]